Theoretical X-ray diffraction stick pattern
Compound: Sr4P2O
Radiation: Cu Ka
Structure: a DFT-relaxed cell (PBE, Alexandria)
Lines closer than 0.1° are merged.

Atomic structure:
Unit cell a=8.621 b=8.621 c=7.001 alpha=90.00 beta=90.00 gamma=133.55
Element x y z (fractional)
Sr1 0.176 0.824 0.949
Sr2 0.237 0.263 0.750
Sr3 0.263 0.237 0.250
Sr4 0.324 0.676 0.449
Sr5 0.676 0.324 0.551
Sr6 0.737 0.763 0.750
Sr7 0.763 0.737 0.250
Sr8 0.824 0.176 0.051
P1 0.135 0.865 0.516
P2 0.365 0.635 0.016
P3 0.635 0.365 0.984
P4 0.865 0.135 0.484
O1 0.000 0.000 0.000
O2 0.500 0.500 0.500

Peak list (12 most intense, 2θ = 10–90°, by intensity)
2.439 Å, 2θ = 36.9°, intensity 100; 3.124 Å, 2θ = 28.6°, intensity 93; 3.202 Å, 2θ = 27.9°, intensity 84; 1.792 Å, 2θ = 51.0°, intensity 53; 2.641 Å, 2θ = 33.9°, intensity 53; 2.580 Å, 2θ = 34.8°, intensity 51; 2.623 Å, 2θ = 34.2°, intensity 49; 2.657 Å, 2θ = 33.7°, intensity 46; 7.923 Å, 2θ = 11.2°, intensity 35; 3.583 Å, 2θ = 24.8°, intensity 32; 3.448 Å, 2θ = 25.8°, intensity 20; 1.700 Å, 2θ = 53.9°, intensity 19